This entry pairs a crystal structure of TbGd2Mg3TlGa2 with its theoretical PXRD pattern. Radiation: Cu Kα. Structure: a PBE-relaxed structure.
Kinematic intensities with the Lorentz-polarization factor, no thermal factor.

Largest 10 diffraction maxima, most intense first, 2θ from 10° to 80°:
2θ (°)  d (Å)  Rel. int.
34.25  2.618  100
27.95  3.193  42
19.41  4.574  29
31.16  2.870  26
39.40  2.287  20
48.99  1.859  18
42.34  2.135  16
55.65  1.652  15
24.14  3.687  14
67.09  1.395  14

Cell and atoms:
Cell lengths 4.574, 7.370, 7.370 Å; angles 119.92, 90.00, 90.00 degrees
Atoms (fractional coordinates):
Tb 0.000 0.000 0.000
Gd 0.000 0.437 0.873
Gd 0.000 0.873 0.437
Mg 0.500 0.187 0.436
Mg 0.500 0.436 0.187
Mg 0.500 0.686 0.686
Tl 0.000 0.436 0.436
Ga 0.500 0.103 0.770
Ga 0.500 0.770 0.103

---

This entry pairs a crystal structure of NdPO4 with its theoretical PXRD pattern. Radiation: Cu Kα. Structure: a PBE-relaxed structure.
Kinematic intensities with the Lorentz-polarization factor, no thermal factor.

Largest 10 diffraction maxima, most intense first, 2θ from 10° to 80°:
2θ (°)  d (Å)  Rel. int.
19.77  4.491  100
29.29  3.049  72
35.59  2.523  57
50.48  1.808  35
45.15  2.008  27
45.95  1.975  26
48.28  1.885  21
40.16  2.245  20
28.10  3.175  16
21.39  4.154  16

Cell and atoms:
Cell lengths 10.457, 10.457, 10.457 Å; angles 129.13, 129.13, 74.80 degrees
Atoms (fractional coordinates):
Nd 0.125 0.375 0.750
Nd 0.125 0.875 0.250
Nd 0.375 0.125 0.250
Nd 0.375 0.625 0.750
Nd 0.625 0.375 0.250
Nd 0.625 0.875 0.750
Nd 0.875 0.125 0.750
Nd 0.875 0.625 0.250
P 0.210 0.250 0.460
P 0.250 0.290 0.040
P 0.250 0.790 0.540
P 0.290 0.750 0.040
P 0.710 0.250 0.960
P 0.750 0.210 0.460
P 0.750 0.710 0.960
P 0.790 0.750 0.540
O 0.100 0.874 0.477
O 0.102 0.377 0.977
O 0.116 0.673 0.947
O 0.123 0.398 0.523
O 0.126 0.102 0.225
O 0.170 0.116 0.943
O 0.173 0.616 0.447
O 0.226 0.170 0.553
O 0.274 0.827 0.943
O 0.327 0.774 0.443
O 0.330 0.274 0.947
O 0.374 0.600 0.977
O 0.377 0.900 0.275
O 0.384 0.330 0.557
O 0.398 0.374 0.275
O 0.400 0.877 0.775
O 0.600 0.123 0.225
O 0.602 0.626 0.725
O 0.616 0.670 0.443
O 0.623 0.100 0.725
O 0.626 0.400 0.023
O 0.670 0.726 0.053
O 0.673 0.226 0.557
O 0.726 0.173 0.057
O 0.774 0.830 0.447
O 0.827 0.384 0.553
O 0.830 0.884 0.057
O 0.874 0.898 0.775
O 0.877 0.602 0.477
O 0.884 0.327 0.053
O 0.898 0.623 0.023
O 0.900 0.126 0.523

---

This entry pairs a crystal structure of LaSmSi3Au with its theoretical PXRD pattern. Radiation: Cu Kα. Structure: a PBE-relaxed structure.
Kinematic intensities with the Lorentz-polarization factor, no thermal factor.

Largest 10 diffraction maxima, most intense first, 2θ from 10° to 80°:
2θ (°)  d (Å)  Rel. int.
32.31  2.771  100
43.51  2.080  39
61.81  1.501  27
23.74  3.749  24
55.18  1.664  15
41.66  2.168  15
72.85  1.298  13
24.71  3.603  11
15.99  5.544  11
70.16  1.341  10

Cell and atoms:
Cell lengths 8.401, 8.314, 6.013 Å; angles 69.69, 68.15, 42.16 degrees
Atoms (fractional coordinates):
La 0.250 0.250 0.250
La 0.750 0.750 0.750
Sm 0.242 0.758 0.242
Sm 0.758 0.242 0.758
Si 0.163 0.163 0.837
Si 0.165 0.673 0.835
Si 0.327 0.835 0.673
Si 0.673 0.165 0.327
Si 0.835 0.327 0.165
Si 0.837 0.837 0.163
Au 0.335 0.335 0.665
Au 0.665 0.665 0.335

---

This entry pairs a crystal structure of NaZrPO4F with its theoretical PXRD pattern. Radiation: Cu Kα. Structure: a PBE-relaxed structure.
Kinematic intensities with the Lorentz-polarization factor, no thermal factor.

Largest 10 diffraction maxima, most intense first, 2θ from 10° to 80°:
2θ (°)  d (Å)  Rel. int.
28.47  3.135  100
17.47  5.076  83
29.25  3.053  66
34.67  2.587  54
32.88  2.724  49
38.10  2.362  42
52.01  1.758  29
52.88  1.731  25
44.30  2.045  24
49.35  1.847  21

Cell and atoms:
Cell lengths 5.625, 5.625, 6.757 Å; angles 102.46, 102.46, 108.52 degrees
Atoms (fractional coordinates):
Na 0.140 0.860 0.750
Na 0.860 0.140 0.250
Zr 0.500 0.500 0.000
Zr 0.500 0.500 0.500
P 0.181 0.819 0.250
P 0.819 0.181 0.750
O 0.097 0.247 0.907
O 0.169 0.620 0.374
O 0.247 0.097 0.407
O 0.380 0.831 0.126
O 0.620 0.169 0.874
O 0.753 0.903 0.593
O 0.831 0.380 0.626
O 0.903 0.753 0.093
F 0.364 0.636 0.750
F 0.636 0.364 0.250

---

This entry pairs a crystal structure of BaCo8P4 with its theoretical PXRD pattern. Radiation: Cu Kα. Structure: a PBE-relaxed structure.
Kinematic intensities with the Lorentz-polarization factor, no thermal factor.

Largest 10 diffraction maxima, most intense first, 2θ from 10° to 80°:
2θ (°)  d (Å)  Rel. int.
37.18  2.418  100
53.31  1.719  74
32.17  2.783  54
45.80  1.981  50
28.90  3.090  46
50.58  1.805  34
54.78  1.676  32
12.81  6.909  24
77.77  1.228  21
41.68  2.167  21

Cell and atoms:
Cell lengths 7.141, 7.141, 7.141 Å; angles 93.66, 93.66, 150.72 degrees
Atoms (fractional coordinates):
Ba 0.000 0.000 0.000
Co 0.011 0.627 0.637
Co 0.235 0.343 0.578
Co 0.343 0.765 0.108
Co 0.373 0.011 0.384
Co 0.627 0.989 0.616
Co 0.657 0.235 0.892
Co 0.765 0.657 0.422
Co 0.989 0.373 0.363
P 0.228 0.578 0.807
P 0.422 0.228 0.650
P 0.578 0.772 0.350
P 0.772 0.422 0.193